# 1
Diffraction record for Nd2SmNpSb4. The powder diffraction line list is calculated, not measured: it uses a GGA-PBE-relaxed structure and CuKα.

Cell and atoms:
abc: 7.760 4.477 7.760
angles: 90.00 109.33 90.00
Fractional coordinates of all 8 atoms:
Nd1 0.000 0.000 0.000
Nd2 0.500 0.500 0.000
Sm1 0.000 0.500 0.500
Np1 0.500 0.000 0.500
Sb1 0.251 0.000 0.744
Sb2 0.255 0.500 0.257
Sb3 0.745 0.500 0.743
Sb4 0.749 0.000 0.256

Main lines, in order of falling intensity (15° ≤ 2θ ≤ 90°):
| 2θ (°) | intensity | (hkl) |
| --- | --- | --- |
| 28.17 | 100 | 1 1 1 |
| 40.26 | 77 | 0 2 0 |
| 49.85 | 28 | 4 0 0 |
| 65.88 | 18 | 4 2 0 |
| 65.97 | 18 | 1 3 1 |
| 73.23 | 13 | 3 3 -1 |
| 73.12 | 13 | 6 0 -2 |
| 58.24 | 13 | 2 2 2 |
| 87.02 | 7 | 0 4 0 |
| 24.33 | 5 | 0 0 2 |
| 47.60 | 3 | 2 0 -4 |
| 23.29 | 2 | 1 1 0 |

=====

# 2
Diffraction record for SeBrCl. The powder diffraction line list is calculated, not measured: it uses a GGA-PBE-relaxed structure and CuKα.

Cell and atoms:
abc: 5.133 6.625 7.481
angles: 83.98 84.99 76.78
Fractional coordinates of all 6 atoms:
Se1 0.061 0.416 0.162
Se2 0.939 0.584 0.838
Br1 0.394 0.149 0.321
Br2 0.606 0.851 0.679
Cl1 0.194 0.694 0.212
Cl2 0.806 0.306 0.788

Main lines, in order of falling intensity (15° ≤ 2θ ≤ 90°):
| 2θ (°) | intensity | (hkl) |
| --- | --- | --- |
| 22.11 | 100 | 1 0 -1 |
| 17.45 | 78 | 0 1 1 |
| 19.97 | 66 | 1 1 0 |
| 30.54 | 38 | 1 2 1 |
| 23.97 | 37 | 0 0 2 |
| 34.87 | 33 | 1 -1 2 |
| 41.80 | 18 | 1 0 -3 |
| 35.31 | 17 | 0 2 2 |
| 24.91 | 16 | 1 -1 0 |
| 40.59 | 14 | 2 2 0 |
| 43.15 | 14 | 2 -1 1 |
| 38.90 | 13 | 1 -2 1 |